Entry 1:
Computed X-ray powder pattern
Compound: Ca4Ce3SiN8
Radiation: Cu Kα (λ = 1.5418 Å)
Structure: a crystal structure in Alexandria, relaxed with PBE
No peak broadening, texture or thermal motion is included.

```
Ca4Ce3SiN8
1.0
6.198 -3.386 0.000
6.198 3.386 0.000
-3.732 0.000 5.715
Ca Ce Si N
4 3 1 8
direct
0.000 0.000 0.000
0.000 0.500 0.000
0.500 0.000 0.000
0.500 0.500 0.000
0.000 0.000 0.500
0.000 0.500 0.500
0.500 0.000 0.500
0.500 0.500 0.500
0.221 0.221 0.241
0.235 0.235 0.723
0.284 0.700 0.692
0.300 0.716 0.308
0.700 0.284 0.692
0.716 0.300 0.308
0.765 0.765 0.277
0.779 0.779 0.759
```

Most intense lines, 5 to 70 degrees two-theta, by angle:
15.51 deg, rel. 87; 28.99 deg, rel. 20; 30.72 deg, rel. 28; 31.31 deg, rel. 44; 31.44 deg, rel. 43; 31.55 deg, rel. 85; 34.57 deg, rel. 64; 37.42 deg, rel. 100; 51.76 deg, rel. 36; 51.94 deg, rel. 36; 60.07 deg, rel. 22; 63.96 deg, rel. 25


Entry 2:
Computed X-ray powder pattern
Compound: Ba3PdN
Radiation: Cu Kα (λ = 1.5418 Å)
Structure: a crystal structure in Alexandria, relaxed with PBE
No peak broadening, texture or thermal motion is included.

```
Ba3PdN
1.0
3.698 2.135 7.265
-3.698 2.135 7.265
0.000 -4.270 7.265
Ba Pd N
6 2 2
direct
0.042 0.800 0.433
0.200 0.567 0.958
0.433 0.042 0.800
0.567 0.958 0.200
0.800 0.433 0.042
0.958 0.200 0.567
0.356 0.356 0.356
0.644 0.644 0.644
0.164 0.164 0.164
0.836 0.836 0.836
```

Most intense lines, 5 to 70 degrees two-theta, by angle:
16.05 deg, rel. 10; 24.51 deg, rel. 16; 27.06 deg, rel. 100; 28.17 deg, rel. 14; 31.96 deg, rel. 7; 32.43 deg, rel. 7; 34.62 deg, rel. 37; 40.79 deg, rel. 9; 42.34 deg, rel. 24; 44.74 deg, rel. 19; 49.53 deg, rel. 7; 50.97 deg, rel. 11


Entry 3:
Computed X-ray powder pattern
Compound: Mo3WSe4S4
Radiation: Cu Kα (λ = 1.5418 Å)
Structure: a crystal structure in Alexandria, relaxed with PBE
No peak broadening, texture or thermal motion is included.

```
Mo3WSe4S4
1.0
3.254 0.000 0.000
-1.627 2.818 0.000
0.000 0.000 34.963
Mo W Se S
3 1 4 4
direct
0.000 0.000 0.000
0.000 0.000 0.410
0.333 0.667 0.209
0.333 0.667 0.612
0.000 0.000 0.160
0.000 0.000 0.257
0.333 0.667 0.049
0.333 0.667 0.951
0.000 0.000 0.567
0.000 0.000 0.656
0.333 0.667 0.366
0.333 0.667 0.455
```

Most intense lines, 5 to 70 degrees two-theta, by angle:
5.05 deg, rel. 100; 7.59 deg, rel. 51; 10.12 deg, rel. 12; 12.66 deg, rel. 63; 31.76 deg, rel. 18; 34.31 deg, rel. 9; 36.62 deg, rel. 29; 38.00 deg, rel. 17; 44.74 deg, rel. 29; 46.70 deg, rel. 8; 56.58 deg, rel. 13; 58.23 deg, rel. 7